No. 1
Diffraction record for KTlAu2I8. The X-ray powder pattern is simulated, not measured: it uses the PBE geometry in Alexandria and Cu Kα X-rays.
Intensities are scaled so that the largest is 100.

The 10 most intense peaks (2θ = 15–90°), by intensity:
35.79°, 2.509 Å, intensity 100; 24.14°, 3.687 Å, intensity 70; 24.34°, 3.657 Å, intensity 43; 50.48°, 1.808 Å, intensity 32; 21.06°, 4.219 Å, intensity 32; 20.91°, 4.248 Å, intensity 31; 54.63°, 1.680 Å, intensity 25; 32.24°, 2.777 Å, intensity 23; 32.40°, 2.763 Å, intensity 22; 29.85°, 2.993 Å, intensity 20

Crystal structure
```
KTlAu2I8
1.0
-4.219 4.219 7.374
4.219 -4.219 7.374
4.219 4.219 -7.374
K Tl Au I
1 1 2 8
direct
0.000 0.000 0.000
0.250 0.750 0.500
0.500 0.500 0.000
0.750 0.250 0.500
0.047 0.300 0.876
0.205 0.457 0.628
0.423 0.795 0.252
0.424 0.171 0.124
0.543 0.171 0.748
0.700 0.576 0.747
0.829 0.577 0.372
0.829 0.953 0.253
```

***

No. 2
Diffraction record for La8ZnAu3I4. The X-ray powder pattern is simulated, not measured: it uses the PBE geometry in Alexandria and Cu Kα X-rays.
Intensities are scaled so that the largest is 100.

The 10 most intense peaks (2θ = 15–90°), by intensity:
27.76°, 3.214 Å, intensity 100; 40.65°, 2.220 Å, intensity 37; 38.66°, 2.329 Å, intensity 37; 49.94°, 1.826 Å, intensity 20; 63.46°, 1.466 Å, intensity 14; 57.34°, 1.607 Å, intensity 12; 66.25°, 1.411 Å, intensity 11; 72.61°, 1.302 Å, intensity 8; 46.53°, 1.952 Å, intensity 6; 66.33°, 1.409 Å, intensity 6

Crystal structure
```
La8ZnAu3I4
1.0
7.695 -4.435 0.000
7.695 4.435 0.000
-5.137 0.000 7.808
La Zn Au I
8 1 3 4
direct
0.238 0.238 0.713
0.239 0.740 0.719
0.260 0.260 0.281
0.260 0.761 0.281
0.740 0.239 0.719
0.740 0.740 0.719
0.761 0.260 0.281
0.762 0.762 0.287
0.500 0.500 0.500
0.000 0.000 0.500
0.000 0.500 0.500
0.500 0.000 0.500
0.000 0.000 0.000
0.000 0.500 0.000
0.500 0.000 0.000
0.500 0.500 0.000
```

***

No. 3
Diffraction record for Li2Au3I6. The X-ray powder pattern is simulated, not measured: it uses the PBE geometry in Alexandria and Cu Kα X-rays.
Intensities are scaled so that the largest is 100.

The 10 most intense peaks (2θ = 15–90°), by intensity:
24.06°, 3.698 Å, intensity 100; 23.44°, 3.795 Å, intensity 31; 53.47°, 1.714 Å, intensity 20; 41.16°, 2.193 Å, intensity 19; 36.10°, 2.488 Å, intensity 18; 45.30°, 2.002 Å, intensity 18; 32.61°, 2.746 Å, intensity 17; 48.32°, 1.883 Å, intensity 10; 40.51°, 2.227 Å, intensity 10; 41.28°, 2.187 Å, intensity 10

Crystal structure
```
Li2Au3I6
1.0
6.561 -3.802 0.000
6.561 3.802 0.000
-4.423 0.000 16.478
Li Au I
4 6 12
direct
0.166 0.666 0.999
0.334 0.834 0.501
0.666 0.166 0.499
0.834 0.334 0.001
0.067 0.933 0.750
0.251 0.431 0.250
0.431 0.251 0.750
0.569 0.749 0.250
0.749 0.569 0.750
0.933 0.067 0.250
0.026 0.866 0.594
0.134 0.974 0.906
0.205 0.363 0.094
0.298 0.472 0.406
0.363 0.205 0.594
0.472 0.298 0.906
0.528 0.702 0.094
0.637 0.795 0.406
0.702 0.528 0.594
0.795 0.637 0.906
0.866 0.026 0.094
0.974 0.134 0.406
```

***

What is the formula in the first record?
KTlAu2I8

***

Repeat the second record exactly.
Diffraction record for La8ZnAu3I4. The X-ray powder pattern is simulated, not measured: it uses the PBE geometry in Alexandria and Cu Kα X-rays.
Intensities are scaled so that the largest is 100.

The 10 most intense peaks (2θ = 15–90°), by intensity:
27.76°, 3.214 Å, intensity 100; 40.65°, 2.220 Å, intensity 37; 38.66°, 2.329 Å, intensity 37; 49.94°, 1.826 Å, intensity 20; 63.46°, 1.466 Å, intensity 14; 57.34°, 1.607 Å, intensity 12; 66.25°, 1.411 Å, intensity 11; 72.61°, 1.302 Å, intensity 8; 46.53°, 1.952 Å, intensity 6; 66.33°, 1.409 Å, intensity 6

Crystal structure
```
La8ZnAu3I4
1.0
7.695 -4.435 0.000
7.695 4.435 0.000
-5.137 0.000 7.808
La Zn Au I
8 1 3 4
direct
0.238 0.238 0.713
0.239 0.740 0.719
0.260 0.260 0.281
0.260 0.761 0.281
0.740 0.239 0.719
0.740 0.740 0.719
0.761 0.260 0.281
0.762 0.762 0.287
0.500 0.500 0.500
0.000 0.000 0.500
0.000 0.500 0.500
0.500 0.000 0.500
0.000 0.000 0.000
0.000 0.500 0.000
0.500 0.000 0.000
0.500 0.500 0.000
```

***

What did the first record say?
Diffraction record for KTlAu2I8. The X-ray powder pattern is simulated, not measured: it uses the PBE geometry in Alexandria and Cu Kα X-rays.
Intensities are scaled so that the largest is 100.

The 10 most intense peaks (2θ = 15–90°), by intensity:
35.79°, 2.509 Å, intensity 100; 24.14°, 3.687 Å, intensity 70; 24.34°, 3.657 Å, intensity 43; 50.48°, 1.808 Å, intensity 32; 21.06°, 4.219 Å, intensity 32; 20.91°, 4.248 Å, intensity 31; 54.63°, 1.680 Å, intensity 25; 32.24°, 2.777 Å, intensity 23; 32.40°, 2.763 Å, intensity 22; 29.85°, 2.993 Å, intensity 20

Crystal structure
```
KTlAu2I8
1.0
-4.219 4.219 7.374
4.219 -4.219 7.374
4.219 4.219 -7.374
K Tl Au I
1 1 2 8
direct
0.000 0.000 0.000
0.250 0.750 0.500
0.500 0.500 0.000
0.750 0.250 0.500
0.047 0.300 0.876
0.205 0.457 0.628
0.423 0.795 0.252
0.424 0.171 0.124
0.543 0.171 0.748
0.700 0.576 0.747
0.829 0.577 0.372
0.829 0.953 0.253
```